(1)
Theoretical PXRD pattern of ZrSiPd for Cu Kα, 1.54184 Å, from a GGA-PBE-relaxed structure.
Neutral-atom scattering factors, no anomalous dispersion.

The 10 most intense peaks (2θ = 10–80°), sorted by position:
2theta  I/Imax
28.9  20
35.4  100
35.6  12
37.3  45
37.6  24
42.2  50
44.6  11
46.5  26
64.6  12
68.9  19

Cell and atoms:
a b c (Å): 6.6787 3.9095 7.6758
angles (deg): 90.00 90.00 90.00
Sites, in units of the cell vectors:
1 Zr 0.0258 0.2500 0.1799
2 Zr 0.4742 0.7500 0.6799
3 Zr 0.5258 0.2500 0.3201
4 Zr 0.9742 0.7500 0.8201
5 Si 0.2369 0.7500 0.3773
6 Si 0.2631 0.2500 0.8773
7 Si 0.7369 0.7500 0.1227
8 Si 0.7631 0.2500 0.6227
9 Pd 0.1437 0.2500 0.5616
10 Pd 0.3563 0.7500 0.0616
11 Pd 0.6437 0.2500 0.9384
12 Pd 0.8563 0.7500 0.4384

(2)
Theoretical PXRD pattern of Na2MgZrP2SO12 for Cu Kα, 1.54184 Å, from a GGA-PBE-relaxed structure.
Neutral-atom scattering factors, no anomalous dispersion.

The 10 most intense peaks (2θ = 10–80°), sorted by position:
2theta  I/Imax
13.8  80
19.3  63
19.9  32
23.0  85
23.1  43
27.8  29
30.8  100
30.9  40
34.7  34
47.2  30

Cell and atoms:
a b c (Å): 8.9271 8.9271 9.1919
angles (deg): 119.01 119.01 60.40
Sites, in units of the cell vectors:
1 Na 0.0700 0.9300 0.5000
2 Na 0.1810 0.6651 0.7459
3 Na 0.6651 0.1810 0.2459
4 Na 0.9300 0.0700 0.0000
5 Mg 0.0408 0.5369 0.3176
6 Mg 0.5369 0.0408 0.8176
7 Zr 0.3391 0.8455 0.2080
8 Zr 0.8455 0.3391 0.7080
9 P 0.1539 0.2377 0.5187
10 P 0.2377 0.1539 0.0187
11 P 0.7411 0.9373 0.5263
12 P 0.9373 0.7411 0.0263
13 S 0.4386 0.6487 0.5168
14 S 0.6487 0.4386 0.0168
15 O 0.0643 0.1735 0.8476
16 O 0.1089 0.7590 0.0331
17 O 0.1196 0.4093 0.4938
18 O 0.1735 0.0643 0.3476
19 O 0.1951 0.3140 0.1758
20 O 0.2508 0.9746 0.0309
21 O 0.2758 0.6258 0.4970
22 O 0.3140 0.1951 0.6758
23 O 0.4093 0.1196 0.9938
24 O 0.4125 0.6745 0.3560
25 O 0.4670 0.8066 0.6717
26 O 0.4784 0.5986 0.0312
27 O 0.5702 0.9068 0.3605
28 O 0.5986 0.4784 0.5312
29 O 0.6258 0.2758 0.9970
30 O 0.6745 0.4125 0.8560
31 O 0.7120 0.9733 0.6919
32 O 0.7590 0.1089 0.5331
33 O 0.7771 0.9162 0.0014
34 O 0.8066 0.4670 0.1717
35 O 0.9068 0.5702 0.8605
36 O 0.9162 0.7771 0.5014
37 O 0.9733 0.7120 0.1919
38 O 0.9746 0.2508 0.5309

(3)
Theoretical PXRD pattern of Rb2CeCu3Te5 for Cu Kα, 1.54184 Å, from a GGA-PBE-relaxed structure.
Neutral-atom scattering factors, no anomalous dispersion.

The 10 most intense peaks (2θ = 10–80°), sorted by position:
2theta  I/Imax
24.3  49
26.5  76
28.8  57
29.4  46
32.4  42
32.6  72
35.4  59
39.9  36
41.0  100
59.1  42

Cell and atoms:
a b c (Å): 9.8799 9.8799 12.5192
angles (deg): 111.37 111.37 36.88
Sites, in units of the cell vectors:
1 Rb 0.0048 0.0048 0.1807
2 Rb 0.3283 0.3283 0.1721
3 Rb 0.6717 0.6717 0.8279
4 Rb 0.9952 0.9952 0.8193
5 Ce 0.2981 0.2981 0.6863
6 Ce 0.7019 0.7019 0.3137
7 Cu 0.1099 0.6024 0.4985
8 Cu 0.2477 0.7523 0.5000
9 Cu 0.3976 0.8901 0.5015
10 Cu 0.6024 0.1099 0.4985
11 Cu 0.7523 0.2477 0.5000
12 Cu 0.8901 0.3976 0.5015
13 Te 0.1128 0.6048 0.9198
14 Te 0.1164 0.1164 0.6459
15 Te 0.2231 0.2231 0.3979
16 Te 0.3952 0.8872 0.0802
17 Te 0.4594 0.4594 0.6452
18 Te 0.5406 0.5406 0.3548
19 Te 0.6048 0.1128 0.9198
20 Te 0.7769 0.7769 0.6021
21 Te 0.8836 0.8836 0.3541
22 Te 0.8872 0.3952 0.0802

(4)
Theoretical PXRD pattern of ReN2 for Cu Kα, 1.54184 Å, from a GGA-PBE-relaxed structure.
Neutral-atom scattering factors, no anomalous dispersion.

The 10 most intense peaks (2θ = 10–80°), sorted by position:
2theta  I/Imax
23.3  100
28.4  47
36.5  67
37.5  42
38.2  33
39.3  50
47.9  45
52.5  46
54.6  19
55.5  31

Cell and atoms:
a b c (Å): 9.5997 2.8654 4.1544
angles (deg): 90.00 90.00 90.00
Sites, in units of the cell vectors:
1 Re 0.1085 0.2500 0.0994
2 Re 0.3915 0.7500 0.5994
3 Re 0.6085 0.2500 0.4006
4 Re 0.8915 0.7500 0.9006
5 N 0.0949 0.7500 0.7390
6 N 0.1738 0.7500 0.4566
7 N 0.3262 0.2500 0.9566
8 N 0.4051 0.2500 0.2390
9 N 0.5949 0.7500 0.7610
10 N 0.6738 0.7500 0.0434
11 N 0.8262 0.2500 0.5434
12 N 0.9051 0.2500 0.2610